[1]
The following is a calculated powder X-ray diffraction pattern of CaZn2Ni9. It was derived from a cell relaxed with PBE, using Cu Kα.
No peak broadening, texture or thermal motion is included.

Cell: 8.078 8.078 4.743 Å, 90.00 90.00 90.00°
Fractional coordinates of all 24 atoms:
Ca (0.000, 0.000, 0.000)
Ca (0.500, 0.500, 0.000)
Zn (0.119, 0.381, 0.000)
Zn (0.381, 0.881, 0.000)
Zn (0.619, 0.119, 0.000)
Zn (0.881, 0.619, 0.000)
Ni (0.000, 0.500, 0.500)
Ni (0.064, 0.211, 0.500)
Ni (0.178, 0.678, 0.243)
Ni (0.178, 0.678, 0.757)
Ni (0.211, 0.936, 0.500)
Ni (0.289, 0.436, 0.500)
Ni (0.322, 0.178, 0.243)
Ni (0.322, 0.178, 0.757)
Ni (0.436, 0.711, 0.500)
Ni (0.500, 0.000, 0.500)
Ni (0.564, 0.289, 0.500)
Ni (0.678, 0.822, 0.243)
Ni (0.678, 0.822, 0.757)
Ni (0.711, 0.564, 0.500)
Ni (0.789, 0.064, 0.500)
Ni (0.822, 0.322, 0.243)
Ni (0.822, 0.322, 0.757)
Ni (0.936, 0.789, 0.500)

Principal peaks in the range 10 to 90 degrees two-theta, in order of falling intensity:
2θ = 45.8°, I = 100; 2θ = 40.1°, I = 75; 2θ = 46.3°, I = 68; 2θ = 44.7°, I = 52; 2θ = 44.3°, I = 30; 2θ = 47.8°, I = 27; 2θ = 15.5°, I = 27; 2θ = 18.7°, I = 19; 2θ = 49.0°, I = 18; 2θ = 36.7°, I = 16; 2θ = 50.4°, I = 12; 2θ = 71.6°, I = 12



[2]
The following is a calculated powder X-ray diffraction pattern of Li7HN2. It was derived from a cell relaxed with PBE, using Cu Kα.
No peak broadening, texture or thermal motion is included.

Cell: 10.028 10.028 10.028 Å, 20.51 20.51 20.51°
Fractional coordinates of all 10 atoms:
Li (0.000, 0.000, 0.000)
Li (0.131, 0.131, 0.131)
Li (0.276, 0.276, 0.276)
Li (0.409, 0.409, 0.409)
Li (0.591, 0.591, 0.591)
Li (0.724, 0.724, 0.724)
Li (0.869, 0.869, 0.869)
H (0.500, 0.500, 0.500)
N (0.066, 0.066, 0.066)
N (0.934, 0.934, 0.934)

Principal peaks in the range 10 to 90 degrees two-theta, in order of falling intensity:
2θ = 18.1°, I = 100; 2θ = 51.2°, I = 68; 2θ = 29.0°, I = 66; 2θ = 27.3°, I = 36; 2θ = 29.5°, I = 35; 2θ = 71.4°, I = 30; 2θ = 52.6°, I = 24; 2θ = 46.3°, I = 23; 2θ = 54.7°, I = 19; 2θ = 58.9°, I = 14; 2θ = 32.7°, I = 12; 2θ = 61.4°, I = 8